No. 1
Diffraction record for Tm2SeO. The powder diffraction line list is simulated, not measured: it uses a cell relaxed with PBE and CuKα.
Intensities are scaled so that the largest is 100.

Principal peaks in the range 2θ from 10° to 90°, low angle first:
2θ (°)	d_spacing	intensity	index
26.87	3.318	26	0 2 1
30.10	2.969	16	1 2 0
30.25	2.955	100	1 0 1
34.37	2.609	38	0 3 1
37.01	2.429	28	1 3 0
38.60	2.333	24	0 0 2
41.94	2.154	20	1 3 1
47.63	1.909	15	2 0 0
54.55	1.682	21	1 3 2
60.04	1.541	15	2 3 1

Crystal structure
Cell: 3.8186 9.4420 4.6653 Å, 90.00 90.00 90.00°
Space group Pmn2_1 (No. 31)
One atom of each set of equivalent atoms:
1 Tm 0.0000 0.0827 0.0000
2 Tm 0.0000 0.6894 0.9800
3 Se 0.0000 0.3809 0.0055
4 O 0.0000 0.8937 0.7377



No. 2
Diffraction record for TmSe2O5. The powder diffraction line list is simulated, not measured: it uses a cell relaxed with PBE and CuKα.
Intensities are scaled so that the largest is 100.

Principal peaks in the range 2θ from 10° to 90°, low angle first:
2θ (°)	d_spacing	intensity	index
14.47	6.119	71	1 1 0
19.61	4.527	92	1 1 1
24.47	3.638	85	1 2 1
27.93	3.194	33	1 3 0
28.53	3.128	54	2 1 1
29.16	3.062	45	2 2 0
30.32	2.948	100	1 1 2
30.99	2.886	83	1 3 1
35.87	2.503	40	2 0 2
46.53	1.952	50	3 3 1

Crystal structure
Cell: 7.4968 10.5929 6.7271 Å, 90.00 90.00 90.00°
Space group Pbcn (No. 60)
One atom of each set of equivalent atoms:
1 Tm 0.0000 0.0681 0.2500
2 Se 0.1347 0.3588 0.0306
3 O 0.0000 0.4305 0.2500
4 O 0.1490 0.0680 0.5421
5 O 0.1796 0.2170 0.1446



No. 3
Diffraction record for Yb2USe3O2. The powder diffraction line list is simulated, not measured: it uses a cell relaxed with PBE and CuKα.
Intensities are scaled so that the largest is 100.

Principal peaks in the range 2θ from 10° to 90°, low angle first:
2θ (°)	d_spacing	intensity	index
24.26	3.669	36	0 0 6
25.91	3.439	57	1 0 3
30.66	2.916	57	1 0 5
32.53	2.752	100	1 1 0
36.74	2.446	62	1 0 7
40.99	2.202	56	1 1 6
46.67	1.946	44	2 0 0
53.29	1.719	40	1 1 10
60.82	1.523	29	2 1 7
77.56	1.231	26	3 1 0

Crystal structure
Cell: 3.8923 3.8923 22.0135 Å, 90.00 90.00 90.00°
Space group I4mm (No. 107)
One atom of each set of equivalent atoms:
1 Yb 0.0000 0.0000 0.0000
2 Yb 0.0000 0.0000 0.3161
3 U 0.0000 0.0000 0.7025
4 Se 0.0000 0.0000 0.1349
5 Se 0.0000 0.0000 0.5235
6 Se 0.0000 0.0000 0.8704
7 O 0.0000 0.5000 0.2475